# YSnSbO6
Calculated X-ray diffraction stick pattern, Cu Kα X-rays. Input: a cell relaxed with PBE.
No peak broadening, texture or thermal motion is included.

Unit cell a=5.483 b=5.483 c=8.907 alpha=90.00 beta=90.00 gamma=120.00
Fractional positions:
Y1 0.333 0.667 0.250
Y2 0.667 0.333 0.750
Sn1 0.000 0.000 0.000
Sn2 0.000 0.000 0.500
Sb1 0.333 0.667 0.750
Sb2 0.667 0.333 0.250
O1 0.034 0.348 0.625
O2 0.034 0.687 0.875
O3 0.313 0.348 0.875
O4 0.313 0.966 0.625
O5 0.348 0.034 0.125
O6 0.348 0.313 0.375
O7 0.652 0.687 0.625
O8 0.652 0.966 0.875
O9 0.687 0.034 0.375
O10 0.687 0.652 0.125
O11 0.966 0.313 0.125
O12 0.966 0.652 0.375

Largest 8 diffraction maxima, sorted by position, 10° ≤ 2θ ≤ 90°:
3.248 Å, I 100.0
2.742 Å, I 49.7
2.095 Å, I 29.6
1.728 Å, I 43.6
1.665 Å, I 28.8
1.583 Å, I 19.2
1.263 Å, I 12.0
1.167 Å, I 11.5